# 1
Starting from a GGA-PBE-relaxed structure, the X-ray powder pattern of SmErHg2 was computed for Cu Kα, 1.54184 Å.
Peak positions follow from Bragg's law for the DFT cell and can differ from measured ones.

Atomic structure:
```
data_SmErHg2
_chemical_formula_sum 'Sm1 Er1 Hg2'
_cell_length_a 5.313
_cell_length_b 5.313
_cell_length_c 5.313
_cell_angle_alpha 60.00
_cell_angle_beta 60.00
_cell_angle_gamma 60.00
_symmetry_space_group_name_H-M 'P 1'
_symmetry_Int_Tables_number 1
_symmetry_space_group_name_Hall 'P 1'
loop_
_atom_site_label
_atom_site_type_symbol
_atom_site_fract_x
_atom_site_fract_y
_atom_site_fract_z
_atom_site_occupancy
Sm1 Sm 0.000 0.000 0.000 1
Er1 Er 0.500 0.500 0.500 1
Hg1 Hg 0.250 0.250 0.250 1
Hg2 Hg 0.750 0.750 0.750 1
```

Peak list (6 most intense, 2θ = 10–90°, in order of rising 2θ)
two_theta	I_rel
23.68	1.6
33.74	100.0
48.46	18.3
60.36	38.2
70.96	11.9
80.93	16.9

# 2
Starting from a GGA-PBE-relaxed structure, the X-ray powder pattern of ErTmHg2 was computed for Cu Kα, 1.54184 Å.
Peak positions follow from Bragg's law for the DFT cell and can differ from measured ones.

Atomic structure:
```
data_ErTmHg2
_chemical_formula_sum 'Er1 Tm1 Hg2'
_cell_length_a 5.221
_cell_length_b 5.221
_cell_length_c 5.221
_cell_angle_alpha 60.00
_cell_angle_beta 60.00
_cell_angle_gamma 60.00
_symmetry_space_group_name_H-M 'P 1'
_symmetry_Int_Tables_number 1
_symmetry_space_group_name_Hall 'P 1'
loop_
_atom_site_label
_atom_site_type_symbol
_atom_site_fract_x
_atom_site_fract_y
_atom_site_fract_z
_atom_site_occupancy
Er1 Er 0.000 0.000 0.000 1
Tm1 Tm 0.500 0.500 0.500 1
Hg1 Hg 0.250 0.250 0.250 1
Hg2 Hg 0.750 0.750 0.750 1
```

Peak list (6 most intense, 2θ = 10–90°, in order of rising 2θ)
two_theta	I_rel
24.11	0.9
34.35	100.0
49.37	18.2
61.53	37.9
72.41	11.8
82.66	16.9

# 3
Starting from a GGA-PBE-relaxed structure, the X-ray powder pattern of YErHg2 was computed for Cu Kα, 1.54184 Å.
Peak positions follow from Bragg's law for the DFT cell and can differ from measured ones.

Atomic structure:
```
data_YErHg2
_chemical_formula_sum 'Y1 Er1 Hg2'
_cell_length_a 5.258
_cell_length_b 5.258
_cell_length_c 5.258
_cell_angle_alpha 60.00
_cell_angle_beta 60.00
_cell_angle_gamma 60.00
_symmetry_space_group_name_H-M 'P 1'
_symmetry_Int_Tables_number 1
_symmetry_space_group_name_Hall 'P 1'
loop_
_atom_site_label
_atom_site_type_symbol
_atom_site_fract_x
_atom_site_fract_y
_atom_site_fract_z
_atom_site_occupancy
Y1 Y 0.000 0.000 0.000 1
Er1 Er 0.500 0.500 0.500 1
Hg1 Hg 0.250 0.250 0.250 1
Hg2 Hg 0.750 0.750 0.750 1
```

Peak list (6 most intense, 2θ = 10–90°, in order of rising 2θ)
two_theta	I_rel
23.94	5.6
34.11	100.0
49.00	18.2
61.05	37.8
71.82	11.7
81.95	16.7

Copy entry 2 word for word.
Starting from a GGA-PBE-relaxed structure, the X-ray powder pattern of ErTmHg2 was computed for Cu Kα, 1.54184 Å.
Peak positions follow from Bragg's law for the DFT cell and can differ from measured ones.

Atomic structure:
```
data_ErTmHg2
_chemical_formula_sum 'Er1 Tm1 Hg2'
_cell_length_a 5.221
_cell_length_b 5.221
_cell_length_c 5.221
_cell_angle_alpha 60.00
_cell_angle_beta 60.00
_cell_angle_gamma 60.00
_symmetry_space_group_name_H-M 'P 1'
_symmetry_Int_Tables_number 1
_symmetry_space_group_name_Hall 'P 1'
loop_
_atom_site_label
_atom_site_type_symbol
_atom_site_fract_x
_atom_site_fract_y
_atom_site_fract_z
_atom_site_occupancy
Er1 Er 0.000 0.000 0.000 1
Tm1 Tm 0.500 0.500 0.500 1
Hg1 Hg 0.250 0.250 0.250 1
Hg2 Hg 0.750 0.750 0.750 1
```

Peak list (6 most intense, 2θ = 10–90°, in order of rising 2θ)
two_theta	I_rel
24.11	0.9
34.35	100.0
49.37	18.2
61.53	37.9
72.41	11.8
82.66	16.9